# MgTiSiO5
Computed powder XRD pattern, Cu Kα X-rays. Input: a crystal structure in the Materials Project, relaxed with GGA-PBE.
No peak broadening, texture or thermal motion is included.

Top 10 peaks for 2θ = 15–90°, in order of falling intensity:
27.17°, rel. 100
31.24°, rel. 73
35.04°, rel. 43
34.58°, rel. 41
18.34°, rel. 40
28.07°, rel. 38
34.22°, rel. 35
39.96°, rel. 31
35.54°, rel. 27
67.80°, rel. 24

Cell and atoms:
```
MgTiSiO5
1.0
5.195 0.000 0.000
-1.672 5.167 0.000
-1.472 -2.435 6.498
Mg Ti Si O
2 2 2 10
Cartesian
0.000 0.000 0.000
-0.007 1.986 2.858
2.572 1.019 1.321
1.974 -0.263 4.578
-0.578 0.869 6.064
2.778 3.878 2.907
-1.533 0.745 4.734
0.334 -1.200 4.132
0.997 1.947 0.533
0.210 4.514 0.457
1.650 0.799 2.852
0.955 1.235 5.572
1.261 3.519 3.431
2.204 -1.173 6.125
3.439 2.667 1.989
4.326 0.064 1.934
```

***

# AlInS3
Computed powder XRD pattern, Cu Kα X-rays. Input: a crystal structure in the Materials Project, relaxed with GGA-PBE.
No peak broadening, texture or thermal motion is included.

Top 10 peaks for 2θ = 15–90°, in order of falling intensity:
17.91°, rel. 100
15.76°, rel. 94
26.08°, rel. 89
29.63°, rel. 67
46.01°, rel. 64
55.68°, rel. 54
31.82°, rel. 47
39.88°, rel. 41
30.61°, rel. 36
41.59°, rel. 31

Cell and atoms:
```
AlInS3
1.0
6.834 0.000 0.000
-3.417 5.918 0.000
0.000 0.000 18.089
Al In S
6 6 18
Cartesian
-2.244 4.038 0.000
1.042 1.956 6.030
2.215 0.076 3.015
1.202 5.843 12.059
2.375 3.962 15.074
5.661 1.880 9.045
-2.270 3.976 11.545
1.108 1.964 17.575
2.255 0.022 14.560
1.161 5.896 5.515
2.308 3.954 8.530
5.687 1.942 2.501
-2.403 4.187 2.293
-1.032 2.170 5.182
-2.024 3.964 8.851
0.993 1.744 8.323
2.006 0.012 5.308
0.996 2.183 14.881
-1.022 5.727 17.241
1.363 1.979 2.167
2.389 0.229 11.866
1.028 5.689 2.821
2.054 3.939 11.212
4.438 0.191 8.197
2.421 3.735 5.836
1.410 5.906 14.353
2.424 4.174 17.368
5.441 1.954 17.896
4.449 3.748 14.226
5.820 1.731 11.338
```

***

# Nd5Ni19
Computed powder XRD pattern, Cu Kα X-rays. Input: a crystal structure in the Materials Project, relaxed with GGA-PBE.
No peak broadening, texture or thermal motion is included.

Top 10 peaks for 2θ = 15–90°, in order of falling intensity:
42.70°, rel. 100
36.08°, rel. 44
31.78°, rel. 36
41.95°, rel. 33
33.25°, rel. 28
69.44°, rel. 24
76.53°, rel. 20
45.03°, rel. 17
64.82°, rel. 16
46.09°, rel. 11

Cell and atoms:
```
Nd5Ni19
1.0
2.490 1.437 16.107
-2.490 1.437 16.107
0.000 -2.875 16.107
Nd Ni
5 19
Cartesian
0.000 0.000 0.000
0.000 0.000 3.774
0.000 0.000 7.328
0.000 0.000 40.992
0.000 0.000 44.546
-1.246 -0.720 18.070
-1.242 -0.717 22.031
0.000 0.000 12.142
0.000 0.000 16.108
0.000 -1.434 26.290
-1.242 0.717 26.290
0.000 0.000 20.053
0.000 -1.439 30.250
-1.246 0.720 30.250
0.000 0.000 24.160
1.246 -0.720 18.070
0.000 1.439 18.070
0.000 0.000 28.268
1.242 -0.717 22.031
0.000 1.434 22.031
0.000 0.000 32.213
0.000 0.000 36.179
1.242 0.717 26.290
1.246 0.720 30.250
```

***

# CeBe13
Computed powder XRD pattern, Cu Kα X-rays. Input: a crystal structure in the Materials Project, relaxed with GGA-PBE.
No peak broadening, texture or thermal motion is included.

Top 10 peaks for 2θ = 15–90°, in order of falling intensity:
24.53°, rel. 100
17.28°, rel. 87
39.25°, rel. 73
43.17°, rel. 62
30.16°, rel. 44
68.38°, rel. 28
56.71°, rel. 26
34.96°, rel. 22
53.56°, rel. 21
76.52°, rel. 20

Cell and atoms:
```
CeBe13
1.0
0.000 5.133 5.133
5.133 0.000 5.133
5.133 5.133 0.000
Ce Be
2 26
Cartesian
2.566 2.566 2.566
7.699 7.699 7.699
0.000 0.000 0.000
5.133 3.963 1.803
8.463 5.133 3.963
6.303 1.803 5.133
6.303 5.133 3.330
5.133 3.330 3.963
6.936 3.963 5.133
5.133 6.303 1.803
3.963 1.803 5.133
8.463 5.133 6.303
3.963 5.133 3.330
6.936 6.303 5.133
5.133 3.330 6.303
5.133 5.133 5.133
5.133 6.936 3.963
3.330 3.963 5.133
6.303 5.133 6.936
1.803 5.133 3.963
6.303 8.463 5.133
5.133 3.963 8.463
3.330 6.303 5.133
5.133 6.936 6.303
3.963 5.133 6.936
3.963 8.463 5.133
1.803 5.133 6.303
5.133 6.303 8.463
```

***

# Co3Mo3C
Computed powder XRD pattern, Cu Kα X-rays. Input: a crystal structure in the Materials Project, relaxed with GGA-PBE.
No peak broadening, texture or thermal motion is included.

Top 10 peaks for 2θ = 15–90°, in order of falling intensity:
42.45°, rel. 100
46.42°, rel. 45
39.91°, rel. 42
72.48°, rel. 34
87.76°, rel. 17
35.36°, rel. 15
32.36°, rel. 11
69.53°, rel. 10
74.22°, rel. 9
64.70°, rel. 8

Cell and atoms:
```
Co3Mo3C
1.0
0.000 5.533 5.533
5.533 0.000 5.533
5.533 5.533 0.000
Co Mo C
12 12 4
Cartesian
0.000 0.000 0.000
2.766 2.766 0.000
2.766 0.000 2.766
8.801 5.031 5.031
2.265 2.265 2.265
6.035 6.035 2.265
6.035 2.265 6.035
0.000 2.766 2.766
5.031 8.801 5.031
5.031 5.031 8.801
8.801 8.801 8.801
2.265 6.035 6.035
4.150 4.150 1.911
4.150 1.911 4.150
6.388 4.150 4.150
6.916 6.916 4.678
6.916 4.678 6.916
9.155 6.916 6.916
1.911 4.150 4.150
4.150 6.388 4.150
4.150 4.150 6.388
4.678 6.916 6.916
6.916 9.155 6.916
6.916 6.916 9.155
5.533 2.766 2.766
2.766 5.533 2.766
2.766 2.766 5.533
5.533 5.533 5.533
```

***

# Ba2OsO4
Computed powder XRD pattern, Cu Kα X-rays. Input: a crystal structure in the Materials Project, relaxed with GGA-PBE.
No peak broadening, texture or thermal motion is included.

Top 10 peaks for 2θ = 15–90°, in order of falling intensity:
29.62°, rel. 100
31.48°, rel. 55
54.90°, rel. 37
45.11°, rel. 26
51.37°, rel. 19
61.50°, rel. 15
39.52°, rel. 14
39.85°, rel. 14
65.69°, rel. 13
74.67°, rel. 9

Cell and atoms:
```
Ba2OsO4
1.0
-2.010 2.010 6.841
2.010 -2.010 6.841
2.010 2.010 -6.841
Ba Os O
2 1 4
Cartesian
0.000 0.000 2.008
0.000 0.000 11.674
0.000 0.000 6.841
2.010 0.000 0.000
0.000 0.000 4.730
0.000 2.010 0.000
0.000 0.000 8.952
```

***

# K3InP2O8
Computed powder XRD pattern, Cu Kα X-rays. Input: a crystal structure in the Materials Project, relaxed with GGA-PBE.
No peak broadening, texture or thermal motion is included.

Top 10 peaks for 2θ = 15–90°, in order of falling intensity:
31.29°, rel. 100
28.73°, rel. 36
28.59°, rel. 35
28.89°, rel. 29
22.28°, rel. 27
17.91°, rel. 20
20.27°, rel. 18
30.53°, rel. 14
38.02°, rel. 11
45.46°, rel. 10

Cell and atoms:
```
K3InP2O8
1.0
9.797 0.000 0.000
3.167 9.315 0.000
0.106 0.051 9.902
K In P O
12 4 8 32
Cartesian
0.000 0.000 0.000
1.664 4.475 5.433
1.347 0.602 6.332
3.819 6.314 8.246
4.972 6.913 4.775
3.565 2.285 9.286
5.934 7.887 1.449
5.004 0.133 4.373
6.837 4.423 9.783
8.185 2.393 4.782
9.781 6.788 0.240
11.071 7.384 3.427
4.918 3.576 3.128
8.183 5.919 6.532
6.799 0.998 8.084
10.003 3.290 1.583
3.157 5.313 1.672
1.970 1.552 3.034
5.320 3.813 6.509
7.099 8.153 7.979
7.848 5.626 3.158
7.071 1.244 1.555
11.055 8.075 6.640
9.690 3.109 8.106
10.698 2.556 3.624
1.690 4.878 1.367
1.350 2.701 7.915
3.367 6.723 1.095
1.714 1.598 1.473
3.395 5.270 3.238
1.831 0.130 3.603
3.863 4.220 6.688
3.403 2.061 3.366
4.197 4.280 1.090
5.691 8.415 8.542
7.068 7.902 6.417
6.177 5.117 6.687
5.588 3.143 5.125
6.334 5.245 2.977
5.755 2.803 7.616
4.850 0.050 8.321
7.723 6.821 8.566
7.975 7.141 3.001
6.257 1.969 2.673
6.486 1.700 0.178
8.401 5.145 4.537
8.662 4.894 2.048
10.177 9.042 1.710
7.258 0.091 6.064
10.144 6.867 6.246
9.247 4.124 7.004
8.562 1.689 1.700
9.440 3.787 9.488
8.820 1.810 7.936
11.083 8.304 8.201
12.461 7.802 6.079
```

***

# CrTe
Computed powder XRD pattern, Cu Kα X-rays. Input: a crystal structure in the Materials Project, relaxed with GGA-PBE.
No peak broadening, texture or thermal motion is included.

Top 10 peaks for 2θ = 15–90°, in order of falling intensity:
24.70°, rel. 100
40.88°, rel. 67
48.35°, rel. 47
74.44°, rel. 21
65.12°, rel. 19
79.82°, rel. 14
28.59°, rel. 13
59.19°, rel. 11
88.61°, rel. 7
67.03°, rel. 5

Cell and atoms:
```
CrTe
1.0
0.000 3.122 3.122
3.122 0.000 3.122
3.122 3.122 0.000
Cr Te
1 1
Cartesian
0.000 0.000 0.000
4.683 4.683 4.683
```

***

# NdF3
Computed powder XRD pattern, Cu Kα X-rays. Input: a crystal structure in the Materials Project, relaxed with GGA-PBE.
No peak broadening, texture or thermal motion is included.

Top 10 peaks for 2θ = 15–90°, in order of falling intensity:
28.08°, rel. 100
25.09°, rel. 63
46.14°, rel. 55
44.12°, rel. 51
51.44°, rel. 33
82.60°, rel. 18
53.11°, rel. 18
65.74°, rel. 18
71.45°, rel. 15
35.78°, rel. 14

Cell and atoms:
```
NdF3
1.0
7.111 0.000 0.000
-3.555 6.158 0.000
0.000 0.000 7.086
Nd F
6 18
Cartesian
-1.175 2.036 1.771
-2.380 4.123 5.314
2.351 0.000 1.771
1.175 2.036 5.314
4.760 0.000 5.314
2.380 4.123 1.771
0.000 0.000 0.000
0.000 0.000 3.543
-1.223 2.119 4.136
-1.223 2.119 6.492
-2.332 4.040 0.593
-2.332 4.040 2.950
0.000 4.105 1.771
0.000 4.105 5.314
2.446 0.000 4.136
2.446 0.000 6.492
1.223 2.119 0.593
1.223 2.119 2.950
4.664 0.000 0.593
4.664 0.000 2.950
2.332 4.040 4.136
2.332 4.040 6.492
3.555 2.053 1.771
3.555 2.053 5.314
```